Structure and simulated PXRD pattern of Cs6Co3Br14 (a cell relaxed with GGA-PBE; copper Kα).

Crystal structure
```
Cs6Co3Br14
1.0
12.7930 0.0000 0.0000
-6.3965 11.0790 0.0000
0.0000 0.0000 7.0852
Cs Co Br
6 3 14
Direct
0.0352 0.4591 0.0000 Cs
0.3000 0.2074 0.4851 Cs
0.4239 0.9648 0.0000 Cs
0.5409 0.5761 0.0000 Cs
0.7926 0.0926 0.4851 Cs
0.9074 0.7000 0.4851 Cs
0.0000 0.0000 0.0507 Co
0.3333 0.6667 0.5612 Co
0.6667 0.3333 0.2367 Co
0.0000 0.0000 0.7163 Br
0.0671 0.1982 0.1648 Br
0.1311 0.9329 0.1648 Br
0.1976 0.7286 0.6746 Br
0.2714 0.4690 0.6746 Br
0.3333 0.6667 0.2268 Br
0.4877 0.2728 0.0402 Br
0.5310 0.8024 0.6746 Br
0.5489 0.1543 0.4343 Br
0.6054 0.4511 0.4343 Br
0.7272 0.2148 0.0402 Br
0.7852 0.5123 0.0402 Br
0.8018 0.8689 0.1648 Br
0.8457 0.3946 0.4343 Br
```

Main lines, most intense first (15 to 90 degrees two-theta):
2θ/deg, d/Å, intensity, (hkl)
31.74, 2.819, 100, 1 3 1
27.23, 3.275, 91, 0 3 1
20.35, 4.364, 89, 0 2 1
24.70, 3.605, 56, 3 -2 1
29.06, 3.073, 53, 3 1 0
18.69, 4.748, 49, 1 1 1
33.12, 2.705, 47, 2 1 2
38.79, 2.321, 40, 4 -1 2
26.41, 3.374, 34, 0 1 2
51.53, 1.774, 31, 5 2 0